The following is a computed PXRD pattern of Li3Be5. It was derived from the PBE geometry in Alexandria, using a wavelength of 1.5418 Å.

Crystal structure
a = 4.0095 Å, b = 5.7624 Å, c = 8.4467 Å
α = 79.15°, β = 76.48°, γ = 69.65°
Sites, in units of the cell vectors:
Li  0.1007  0.4437  0.3584
Li  0.2062  0.5145  0.0743
Li  0.3348  0.8385  0.4928
Li  0.6652  0.1615  0.5072
Li  0.7938  0.4855  0.9257
Li  0.8993  0.5563  0.6416
Be  0.0672  0.1095  0.7559
Be  0.2334  0.7286  0.8047
Be  0.2480  0.9999  0.0002
Be  0.3541  0.0739  0.2220
Be  0.4399  0.3106  0.8059
Be  0.5601  0.6894  0.1941
Be  0.6459  0.9261  0.7780
Be  0.7520  0.0001  0.9998
Be  0.7666  0.2714  0.1953
Be  0.9328  0.8905  0.2441

The 10 most intense peaks (10° ≤ 2θ ≤ 80°), in order of rising 2θ:
10.8 deg, intensity 100; 16.5 deg, intensity 24; 21.8 deg, intensity 16; 44.6 deg, intensity 8; 44.9 deg, intensity 10; 45.0 deg, intensity 9; 45.2 deg, intensity 22; 45.7 deg, intensity 15; 49.0 deg, intensity 14; 49.3 deg, intensity 36

***

The following is a computed PXRD pattern of LiBe3. It was derived from the PBE geometry in Alexandria, using a wavelength of 1.5418 Å.

Crystal structure
a = 2.2189 Å, b = 3.4687 Å, c = 4.7549 Å
α = 90.00°, β = 90.00°, γ = 90.00°
Sites, in units of the cell vectors:
Li  0.0000  0.0000  0.0000
Be  0.0000  0.0000  0.5000
Be  0.5000  0.5000  0.2744
Be  0.5000  0.5000  0.7256

The 10 most intense peaks (10° ≤ 2θ ≤ 80°), in order of rising 2θ:
18.7 deg, intensity 23; 25.7 deg, intensity 1; 46.3 deg, intensity 100; 48.7 deg, intensity 90; 52.6 deg, intensity 1; 52.8 deg, intensity 35; 56.8 deg, intensity 54; 64.7 deg, intensity 3; 73.4 deg, intensity 2; 79.2 deg, intensity 2

***

The following is a computed PXRD pattern of LiBe5. It was derived from the PBE geometry in Alexandria, using a wavelength of 1.5418 Å.

Crystal structure
a = 3.6702 Å, b = 7.6181 Å, c = 3.6502 Å
α = 90.00°, β = 90.00°, γ = 90.00°
Sites, in units of the cell vectors:
Li  0.0000  0.0000  0.0000
Li  0.5000  0.5000  0.0000
Be  0.0000  0.1785  0.5000
Be  0.0000  0.3330  0.0000
Be  0.0000  0.5000  0.5000
Be  0.0000  0.6670  0.0000
Be  0.0000  0.8215  0.5000
Be  0.5000  0.0000  0.5000
Be  0.5000  0.1670  0.0000
Be  0.5000  0.3215  0.5000
Be  0.5000  0.6785  0.5000
Be  0.5000  0.8330  0.0000

The 8 most intense peaks (10° ≤ 2θ ≤ 80°), in order of rising 2θ:
23.4 deg, intensity 2; 27.0 deg, intensity 1; 49.7 deg, intensity 26; 50.0 deg, intensity 26; 50.3 deg, intensity 100; 71.9 deg, intensity 1; 73.1 deg, intensity 18; 74.8 deg, intensity 8

***

The following is a computed PXRD pattern of Li2MgBe. It was derived from the PBE geometry in Alexandria, using a wavelength of 1.5418 Å.

Crystal structure
a = 3.0863 Å, b = 3.0863 Å, c = 6.7041 Å
α = 90.00°, β = 90.00°, γ = 90.00°
Sites, in units of the cell vectors:
Li  0.0000  0.0000  0.0000
Li  0.5000  0.5000  0.2622
Mg  0.0000  0.0000  0.5735
Be  0.5000  0.5000  0.8086

The 10 most intense peaks (10° ≤ 2θ ≤ 80°), in order of rising 2θ:
13.2 deg, intensity 100; 26.6 deg, intensity 15; 28.9 deg, intensity 26; 31.9 deg, intensity 55; 39.7 deg, intensity 91; 41.4 deg, intensity 46; 43.6 deg, intensity 18; 50.4 deg, intensity 16; 59.9 deg, intensity 15; 74.3 deg, intensity 27

***

The following is a computed PXRD pattern of LiMgBe. It was derived from the PBE geometry in Alexandria, using a wavelength of 1.5418 Å.

Crystal structure
a = 4.3944 Å, b = 4.3944 Å, c = 2.6915 Å
α = 90.00°, β = 90.00°, γ = 120.00°
Sites, in units of the cell vectors:
Li  0.0000  0.0000  0.0000
Mg  0.3333  0.6667  0.3589
Be  0.6667  0.3333  0.7649

The 9 most intense peaks (10° ≤ 2θ ≤ 80°), in order of rising 2θ:
23.4 deg, intensity 56; 33.3 deg, intensity 6; 41.1 deg, intensity 100; 47.8 deg, intensity 8; 53.9 deg, intensity 8; 59.5 deg, intensity 19; 64.8 deg, intensity 6; 69.9 deg, intensity 1; 74.8 deg, intensity 32

***

The following is a computed PXRD pattern of LiMgBe. It was derived from the PBE geometry in Alexandria, using a wavelength of 1.5418 Å.

Crystal structure
a = 4.3094 Å, b = 9.9481 Å, c = 4.9454 Å
α = 90.00°, β = 114.86°, γ = 90.00°
Sites, in units of the cell vectors:
Li  0.1723  0.0000  0.3437
Li  0.3277  0.5000  0.6563
Li  0.6723  0.5000  0.3437
Li  0.8277  0.0000  0.6563
Mg  0.0000  0.3497  0.0000
Mg  0.0000  0.6503  0.0000
Mg  0.5000  0.1503  0.0000
Mg  0.5000  0.8497  0.0000
Be  0.0000  0.2488  0.5000
Be  0.0000  0.7512  0.5000
Be  0.5000  0.2512  0.5000
Be  0.5000  0.7488  0.5000

The 10 most intense peaks (10° ≤ 2θ ≤ 80°), in order of rising 2θ:
17.8 deg, intensity 43; 19.8 deg, intensity 78; 24.5 deg, intensity 60; 24.7 deg, intensity 59; 35.5 deg, intensity 99; 35.7 deg, intensity 100; 37.4 deg, intensity 49; 38.0 deg, intensity 46; 40.2 deg, intensity 43; 41.5 deg, intensity 76

***

The following is a computed PXRD pattern of LiMnBe4. It was derived from the PBE geometry in Alexandria, using a wavelength of 1.5418 Å.

Crystal structure
a = 4.3354 Å, b = 4.3354 Å, c = 4.3354 Å
α = 60.00°, β = 60.00°, γ = 60.00°
Sites, in units of the cell vectors:
Li  0.0000  0.0000  0.0000
Mn  0.7500  0.7500  0.7500
Be  0.3762  0.3762  0.3762
Be  0.3762  0.3762  0.8714
Be  0.3762  0.8714  0.3762
Be  0.8714  0.3762  0.3762

The 9 most intense peaks (10° ≤ 2θ ≤ 80°), in order of rising 2θ:
25.2 deg, intensity 100; 29.1 deg, intensity 59; 41.7 deg, intensity 62; 49.3 deg, intensity 85; 51.6 deg, intensity 18; 60.4 deg, intensity 3; 66.5 deg, intensity 16; 68.4 deg, intensity 17; 76.0 deg, intensity 18

***

The following is a computed PXRD pattern of LiMn2Be. It was derived from the PBE geometry in Alexandria, using a wavelength of 1.5418 Å.

Crystal structure
a = 2.4703 Å, b = 2.4703 Å, c = 24.7882 Å
α = 90.00°, β = 90.00°, γ = 120.00°
Sites, in units of the cell vectors:
Li  0.0000  0.0000  0.0000
Li  0.3333  0.6667  0.6667
Li  0.6667  0.3333  0.3333
Mn  0.0000  0.0000  0.5023
Mn  0.0000  0.0000  0.7597
Mn  0.3333  0.6667  0.1689
Mn  0.3333  0.6667  0.4264
Mn  0.6667  0.3333  0.0930
Mn  0.6667  0.3333  0.8356
Be  0.0000  0.0000  0.2454
Be  0.3333  0.6667  0.9121
Be  0.6667  0.3333  0.5788

The 10 most intense peaks (10° ≤ 2θ ≤ 80°), in order of rising 2θ:
10.7 deg, intensity 100; 32.5 deg, intensity 3; 42.4 deg, intensity 8; 43.8 deg, intensity 7; 44.8 deg, intensity 21; 46.2 deg, intensity 5; 49.8 deg, intensity 7; 51.9 deg, intensity 12; 59.6 deg, intensity 5; 77.2 deg, intensity 4